No. 1
# K4U3VSe8
Simulated powder X-ray diffraction pattern, CuKα. Input: a DFT-relaxed cell (PBE, Alexandria).
Lines closer than 0.1° are merged.

Most intense lines, 2θ = 10–80°, in order of rising 2θ:
2θ/deg  intensity
11.4  72
25.2  16
29.3  100
36.9  23
40.0  36
43.9  35
45.5  16
50.1  17
53.7  18
71.8  15

```
K4U3VSe8
1.0
4.122 2.380 7.762
-4.122 2.380 7.762
0.000 -4.760 7.762
K U V Se
4 3 1 8
Cartesian
0.000 0.000 0.000
-2.061 -1.190 7.762
-2.061 1.190 15.524
0.000 2.380 7.762
-4.122 0.000 11.643
-2.061 1.190 3.881
2.061 1.190 3.881
0.000 0.000 11.643
0.000 0.000 5.530
-1.972 -1.139 13.205
0.000 -2.278 10.081
-1.972 1.139 10.081
1.972 -1.139 13.205
0.000 2.278 13.205
1.972 1.139 10.081
0.000 0.000 17.755
```

---

No. 2
# K2VSe8
Simulated powder X-ray diffraction pattern, CuKα. Input: a DFT-relaxed cell (PBE, Alexandria).
Lines closer than 0.1° are merged.

Most intense lines, 2θ = 10–80°, in order of rising 2θ:
2θ/deg  intensity
12.1  46
13.0  91
15.2  93
22.2  52
26.1  40
27.9  44
28.8  91
30.7  100
31.1  52
40.1  37

```
K2VSe8
1.0
6.488 0.000 0.000
-2.678 7.306 0.000
-1.352 -2.774 7.301
K V Se
2 1 8
Cartesian
-0.795 1.320 1.923
3.253 3.211 5.378
2.568 -1.387 3.650
-2.543 5.452 2.893
0.422 4.595 1.796
-0.005 3.595 4.544
2.549 0.956 0.226
-0.091 3.575 7.075
2.463 0.936 2.757
2.036 -0.063 5.505
5.001 -0.920 4.408
```

---

No. 3
# K5V2Se6
Simulated powder X-ray diffraction pattern, CuKα. Input: a DFT-relaxed cell (PBE, Alexandria).
Lines closer than 0.1° are merged.

Most intense lines, 2θ = 10–80°, in order of rising 2θ:
2θ/deg  intensity
13.4  100
14.5  43
21.7  58
25.3  50
26.0  51
27.9  84
28.8  72
30.7  53
36.4  42
41.7  52

```
K5V2Se6
1.0
6.506 -4.089 0.000
6.506 4.089 0.000
-3.671 0.000 16.583
K V Se
10 4 12
Cartesian
3.753 3.041 12.438
5.709 2.127 0.021
3.423 0.785 4.522
5.467 2.127 8.271
1.587 -0.785 12.813
7.754 0.785 3.770
3.873 -2.127 8.312
5.918 -0.785 12.062
3.632 -2.127 16.563
5.588 -3.041 4.146
1.441 1.210 9.398
3.277 -1.210 1.107
6.064 1.210 15.477
7.900 -1.210 7.185
-0.467 0.421 10.557
1.322 0.482 7.128
1.368 -0.421 2.265
-0.514 -0.482 15.420
3.415 0.422 10.374
5.251 -0.422 2.082
4.090 0.422 14.501
5.926 -0.422 6.209
9.855 0.482 1.163
7.973 0.421 14.319
8.019 -0.482 9.455
9.808 -0.421 6.027
```